Record 1
The following is a calculated X-ray diffraction stick pattern of EuNi5As3. It was derived from a GGA-PBE-relaxed structure, using a wavelength of 1.5418 Å.

The 6 most intense peaks (5 to 70 degrees two-theta), by intensity:
2θ (°), I/Imax
36.0, 100
33.8, 94
48.7, 65
39.5, 60
30.2, 58
32.5, 39

Crystal structure
abc: 6.380 6.380 11.850
angles: 90.00 90.00 145.93
Atoms (fractional coordinates):
Eu 0.163 0.837 0.750
Eu 0.837 0.163 0.250
Ni 0.000 0.000 0.000
Ni 0.000 0.000 0.500
Ni 0.194 0.806 0.067
Ni 0.194 0.806 0.433
Ni 0.450 0.550 0.645
Ni 0.450 0.550 0.855
Ni 0.550 0.450 0.145
Ni 0.550 0.450 0.355
Ni 0.806 0.194 0.567
Ni 0.806 0.194 0.933
As 0.116 0.884 0.250
As 0.379 0.621 0.044
As 0.379 0.621 0.456
As 0.621 0.379 0.544
As 0.621 0.379 0.956
As 0.884 0.116 0.750

---

Record 2
The following is a calculated X-ray diffraction stick pattern of ScSiPt2. It was derived from a GGA-PBE-relaxed structure, using a wavelength of 1.5418 Å.

The 6 most intense peaks (5 to 70 degrees two-theta), by intensity:
2θ (°), I/Imax
36.3, 100
44.8, 78
36.4, 69
25.6, 56
25.3, 41
42.7, 36

Crystal structure
abc: 5.294 5.294 7.027
angles: 90.00 90.00 138.86
Atoms (fractional coordinates):
Sc 0.048 0.952 0.750
Sc 0.952 0.048 0.250
Si 0.233 0.767 0.250
Si 0.767 0.233 0.750
Pt 0.362 0.638 0.548
Pt 0.362 0.638 0.952
Pt 0.638 0.362 0.048
Pt 0.638 0.362 0.452

---

Record 3
The following is a calculated X-ray diffraction stick pattern of K2NaGaCl6. It was derived from a GGA-PBE-relaxed structure, using a wavelength of 1.5418 Å.

The 6 most intense peaks (5 to 70 degrees two-theta), by intensity:
2θ (°), I/Imax
35.0, 100
50.3, 61
30.2, 52
24.5, 41
15.0, 39
17.3, 33

Crystal structure
abc: 7.257 7.257 7.257
angles: 60.00 60.00 60.00
Atoms (fractional coordinates):
K 0.250 0.250 0.250
K 0.750 0.750 0.750
Na 0.000 0.000 0.000
Ga 0.500 0.500 0.500
Cl 0.267 0.267 0.733
Cl 0.267 0.733 0.267
Cl 0.267 0.733 0.733
Cl 0.733 0.267 0.267
Cl 0.733 0.267 0.733
Cl 0.733 0.733 0.267

---

Record 4
The following is a calculated X-ray diffraction stick pattern of Sc13Cu13O33. It was derived from a GGA-PBE-relaxed structure, using a wavelength of 1.5418 Å.

The 6 most intense peaks (5 to 70 degrees two-theta), by intensity:
2θ (°), I/Imax
32.5, 100
33.0, 51
31.9, 41
53.5, 34
55.5, 31
37.1, 29

Crystal structure
abc: 5.964 5.964 36.259
angles: 92.13 92.13 33.37
Atoms (fractional coordinates):
Sc 0.000 0.000 0.000
Sc 0.075 0.075 0.846
Sc 0.127 0.127 0.693
Sc 0.214 0.214 0.537
Sc 0.305 0.305 0.383
Sc 0.356 0.356 0.230
Sc 0.434 0.434 0.076
Sc 0.510 0.510 0.922
Sc 0.610 0.610 0.770
Sc 0.677 0.677 0.615
Sc 0.748 0.748 0.459
Sc 0.840 0.840 0.307
Sc 0.923 0.923 0.154
Cu 0.032 0.032 0.426
Cu 0.102 0.102 0.268
Cu 0.181 0.181 0.113
Cu 0.258 0.258 0.959
Cu 0.342 0.342 0.805
Cu 0.415 0.415 0.655
Cu 0.491 0.491 0.502
Cu 0.573 0.573 0.343
Cu 0.647 0.647 0.196
Cu 0.725 0.725 0.041
Cu 0.800 0.800 0.887
Cu 0.873 0.873 0.730
Cu 0.955 0.955 0.579
O 0.019 0.019 0.107
O 0.032 0.032 0.744
O 0.096 0.096 0.952
O 0.118 0.118 0.586
O 0.155 0.155 0.215
O 0.184 0.184 0.800
O 0.195 0.195 0.427
O 0.233 0.233 0.060
O 0.251 0.251 0.647
O 0.262 0.262 0.281
O 0.309 0.309 0.906
O 0.328 0.328 0.490
O 0.341 0.341 0.127
O 0.414 0.414 0.338
O 0.418 0.418 0.972
O 0.459 0.459 0.599
O 0.487 0.487 0.185
O 0.499 0.499 0.816
O 0.540 0.540 0.442
O 0.564 0.564 0.031
O 0.579 0.579 0.663
O 0.639 0.639 0.876
O 0.655 0.655 0.508
O 0.711 0.711 0.724
O 0.730 0.730 0.354
O 0.792 0.792 0.569
O 0.809 0.809 0.198
O 0.872 0.872 0.414
O 0.887 0.887 0.044
O 0.924 0.924 0.679
O 0.939 0.939 0.261
O 0.962 0.962 0.889
O 0.997 0.997 0.521

---

Record 5
The following is a calculated X-ray diffraction stick pattern of Rb6Pb5Cl16. It was derived from a GGA-PBE-relaxed structure, using a wavelength of 1.5418 Å.

The 6 most intense peaks (5 to 70 degrees two-theta), by intensity:
2θ (°), I/Imax
22.7, 100
23.4, 85
34.8, 83
33.3, 82
22.9, 80
23.6, 78

Crystal structure
abc: 11.966 11.966 11.406
angles: 90.09 90.09 90.84
Atoms (fractional coordinates):
Rb 0.000 0.500 0.000
Rb 0.122 0.878 0.000
Rb 0.137 0.863 0.500
Rb 0.177 0.177 0.735
Rb 0.364 0.364 0.498
Rb 0.374 0.374 0.000
Rb 0.500 0.000 0.000
Rb 0.626 0.626 0.000
Rb 0.636 0.636 0.502
Rb 0.823 0.823 0.265
Rb 0.863 0.137 0.500
Rb 0.878 0.122 0.000
Pb 0.002 0.497 0.342
Pb 0.176 0.176 0.262
Pb 0.321 0.671 0.744
Pb 0.329 0.679 0.256
Pb 0.497 0.002 0.342
Pb 0.503 0.998 0.658
Pb 0.671 0.321 0.744
Pb 0.679 0.329 0.256
Pb 0.824 0.824 0.738
Pb 0.998 0.503 0.658
Cl 0.013 0.013 0.290
Cl 0.073 0.702 0.784
Cl 0.081 0.698 0.214
Cl 0.089 0.305 0.491
Cl 0.159 0.159 0.020
Cl 0.200 0.433 0.214
Cl 0.202 0.448 0.789
Cl 0.204 0.592 0.502
Cl 0.298 0.927 0.216
Cl 0.302 0.919 0.786
Cl 0.305 0.089 0.491
Cl 0.341 0.659 0.000
Cl 0.408 0.796 0.498
Cl 0.433 0.200 0.214
Cl 0.448 0.202 0.789
Cl 0.500 0.500 0.283
Cl 0.500 0.500 0.717
Cl 0.552 0.798 0.211
Cl 0.567 0.800 0.786
Cl 0.592 0.204 0.502
Cl 0.659 0.341 0.000
Cl 0.695 0.911 0.509
Cl 0.698 0.081 0.214
Cl 0.702 0.073 0.784
Cl 0.796 0.408 0.498
Cl 0.798 0.552 0.211
Cl 0.800 0.567 0.786
Cl 0.841 0.841 0.980
Cl 0.911 0.695 0.509
Cl 0.919 0.302 0.786
Cl 0.927 0.298 0.216
Cl 0.987 0.987 0.710

---

Record 6
The following is a calculated X-ray diffraction stick pattern of SbPb4. It was derived from a GGA-PBE-relaxed structure, using a wavelength of 1.5418 Å.

The 6 most intense peaks (5 to 70 degrees two-theta), by intensity:
2θ (°), I/Imax
30.9, 100
36.0, 66
31.7, 30
61.6, 28
51.3, 25
52.4, 21

Crystal structure
abc: 14.279 14.279 14.279
angles: 14.32 14.32 14.32
Atoms (fractional coordinates):
Sb 0.000 0.000 0.000
Pb 0.200 0.200 0.200
Pb 0.396 0.396 0.396
Pb 0.604 0.604 0.604
Pb 0.800 0.800 0.800

---

Record 7
The following is a calculated X-ray diffraction stick pattern of In3Si6N11. It was derived from a GGA-PBE-relaxed structure, using a wavelength of 1.5418 Å.

The 6 most intense peaks (5 to 70 degrees two-theta), by intensity:
2θ (°), I/Imax
34.1, 100
18.0, 84
31.5, 66
27.2, 64
37.7, 57
42.0, 45

Crystal structure
abc: 9.845 9.845 4.925
angles: 90.00 90.00 90.00
Atoms (fractional coordinates):
In 0.000 0.000 0.000
In 0.180 0.320 0.970
In 0.320 0.820 0.970
In 0.500 0.500 0.000
In 0.680 0.180 0.970
In 0.820 0.680 0.970
Si 0.082 0.791 0.552
Si 0.122 0.622 0.062
Si 0.209 0.082 0.552
Si 0.291 0.582 0.552
Si 0.378 0.122 0.062
Si 0.418 0.291 0.552
Si 0.582 0.709 0.552
Si 0.622 0.878 0.062
Si 0.709 0.418 0.552
Si 0.791 0.918 0.552
Si 0.878 0.378 0.062
Si 0.918 0.209 0.552
N 0.000 0.500 0.107
N 0.078 0.183 0.679
N 0.089 0.784 0.199
N 0.147 0.647 0.710
N 0.183 0.922 0.679
N 0.216 0.089 0.199
N 0.284 0.589 0.199
N 0.317 0.422 0.679
N 0.353 0.147 0.710
N 0.411 0.284 0.199
N 0.422 0.683 0.679
N 0.500 0.000 0.107
N 0.578 0.317 0.679
N 0.589 0.716 0.199
N 0.647 0.853 0.710
N 0.683 0.578 0.679
N 0.716 0.411 0.199
N 0.784 0.911 0.199
N 0.817 0.078 0.679
N 0.853 0.353 0.710
N 0.911 0.216 0.199
N 0.922 0.817 0.679